For Zr3Zn, a PBE-relaxed structure gives the simulated powder diffraction line list in this record (a wavelength of 1.5418 Å).
Intensities are scaled so that the largest is 100.

Structure:
abc: 4.2908 4.3020 9.0108
angles: 90.00 90.00 90.00
Space group Immm (No. 71)
One atom of each set of equivalent atoms:
Zr 0.0000 0.0000 0.0000 (multiplicity 2)
Zr 0.0000 0.5000 0.2497 (multiplicity 4)
Zn 0.0000 0.0000 0.5000 (multiplicity 2)

Main lines, by angle (10 to 90 degrees two-theta):
2θ (°)  I (rel.)  h k l
35.6  100  1 1 2
40.0  18  0 0 4
42.0  16  0 2 0
42.1  16  2 0 0
59.5  22  2 0 4
61.0  10  2 2 0
69.9  13  1 1 6
72.6  12  1 3 2
72.8  12  3 1 2
75.5  10  2 2 4